# 1
Theoretical X-ray powder pattern
Compound: CsCaI3
Radiation: λ = 1.5418 Å (Cu Kα)
Structure: the GGA-PBE geometry in the Materials Project

Peak list (10 most intense, 10° ≤ 2θ ≤ 90°, by angle)
(1 1 3), 2θ = 25.20°, intensity 100; (2 1 1), 2θ = 25.41°, intensity 90; (2 0 4), 2θ = 25.67°, intensity 41; (1 0 5), 2θ = 25.93°, intensity 56; (3 0 2), 2θ = 26.64°, intensity 24; (2 1 2), 2θ = 26.82°, intensity 73; (0 2 0), 2θ = 37.77°, intensity 35; (1 1 7), 2θ = 40.53°, intensity 24; (1 2 5), 2θ = 46.40°, intensity 32; (4 1 6), 2θ = 49.12°, intensity 22

Atomic structure:
a = 10.8021 Å, b = 4.7639 Å, c = 18.1188 Å
α = 90.00°, β = 90.00°, γ = 90.00°
Element x y z (fractional)
1 Cs 0.0715 0.2500 0.1752
2 Cs 0.4285 0.7500 0.6752
3 Cs 0.5715 0.2500 0.3248
4 Cs 0.9285 0.7500 0.8248
5 Ca 0.1626 0.7500 0.4441
6 Ca 0.3374 0.2500 0.9441
7 Ca 0.6626 0.7500 0.0559
8 Ca 0.8374 0.2500 0.5559
9 I 0.0241 0.7500 0.6005
10 I 0.1708 0.7500 0.0034
11 I 0.2147 0.2500 0.7915
12 I 0.2853 0.7500 0.2915
13 I 0.3292 0.2500 0.5034
14 I 0.4759 0.2500 0.1005
15 I 0.5241 0.7500 0.8995
16 I 0.6708 0.7500 0.4966
17 I 0.7147 0.2500 0.7085
18 I 0.7853 0.7500 0.2085
19 I 0.8292 0.2500 0.9966
20 I 0.9759 0.2500 0.3995



# 2
Theoretical X-ray powder pattern
Compound: CsCaI3
Radiation: λ = 1.5418 Å (Cu Kα)
Structure: the GGA-PBE geometry in the Materials Project

Peak list (10 most intense, 10° ≤ 2θ ≤ 90°, by angle)
(0 3 1), 2θ = 24.04°, intensity 65; (2 2 0), 2θ = 24.60°, intensity 100; (0 2 2), 2θ = 25.25°, intensity 83; (2 2 1), 2θ = 26.72°, intensity 20; (2 0 2), 2θ = 28.79°, intensity 75; (0 4 0), 2θ = 28.99°, intensity 49; (3 0 1), 2θ = 31.75°, intensity 20; (2 4 2), 2θ = 41.31°, intensity 35; (2 5 1), 2θ = 43.23°, intensity 28; (2 3 3), 2θ = 43.50°, intensity 26

Atomic structure:
a = 8.9457 Å, b = 12.3216 Å, c = 8.6043 Å
α = 90.00°, β = 90.00°, γ = 90.00°
Element x y z (fractional)
1 Cs 0.0653 0.2500 0.0224
2 Cs 0.4347 0.7500 0.5224
3 Cs 0.5653 0.2500 0.4776
4 Cs 0.9347 0.7500 0.9776
5 Ca 0.0000 0.0000 0.5000
6 Ca 0.0000 0.5000 0.5000
7 Ca 0.5000 0.0000 0.0000
8 Ca 0.5000 0.5000 0.0000
9 I 0.0124 0.7500 0.4233
10 I 0.2096 0.5380 0.7937
11 I 0.2096 0.9620 0.7937
12 I 0.2904 0.0380 0.2937
13 I 0.2904 0.4620 0.2937
14 I 0.4876 0.2500 0.9233
15 I 0.5124 0.7500 0.0767
16 I 0.7096 0.5380 0.7063
17 I 0.7096 0.9620 0.7063
18 I 0.7904 0.0380 0.2063
19 I 0.7904 0.4620 0.2063
20 I 0.9876 0.2500 0.5767



# 3
Theoretical X-ray powder pattern
Compound: CsCaI3
Radiation: λ = 1.5418 Å (Cu Kα)
Structure: the GGA-PBE geometry in the Materials Project

Peak list (10 most intense, 10° ≤ 2θ ≤ 90°, by angle)
(2 0 1), 2θ = 24.74°, intensity 100; (2 2 0), 2θ = 28.64°, intensity 73; (0 4 0), 2θ = 40.95°, intensity 54; (2 4 1), 2θ = 48.43°, intensity 48; (0 4 2), 2θ = 50.73°, intensity 19; (4 4 0), 2θ = 59.30°, intensity 9; (0 6 1), 2θ = 65.24°, intensity 19; (2 6 0), 2θ = 67.16°, intensity 24; (2 6 2), 2θ = 74.58°, intensity 18; (4 6 1), 2θ = 79.97°, intensity 15

Atomic structure:
a = 8.8173 Å, b = 8.8169 Å, c = 6.2315 Å
α = 90.00°, β = 90.01°, γ = 90.00°
Element x y z (fractional)
1 Cs 0.0000 0.0000 0.0000
2 Cs 0.5000 0.5000 0.0000
3 Ca 0.0050 0.5000 0.5154
4 Ca 0.5050 0.0000 0.5154
5 I 0.2523 0.2513 0.5111
6 I 0.2523 0.7487 0.5111
7 I 0.4925 0.0000 0.0143
8 I 0.7523 0.2487 0.5111
9 I 0.7523 0.7513 0.5111
10 I 0.9925 0.5000 0.0143



# 4
Theoretical X-ray powder pattern
Compound: CsCaMg6
Radiation: λ = 1.5418 Å (Cu Kα)
Structure: the GGA-PBE geometry in the Materials Project

Peak list (10 most intense, 10° ≤ 2θ ≤ 90°, by angle)
(0 0 2), 2θ = 13.11°, intensity 22; (0 1 1), 2θ = 14.08°, intensity 35; (1 0 0), 2θ = 16.86°, intensity 27; (1 0 2), 2θ = 21.41°, intensity 53; (1 1 1), 2θ = 22.03°, intensity 34; (0 2 2), 2θ = 28.39°, intensity 49; (1 0 4), 2θ = 31.48°, intensity 66; (1 2 2), 2θ = 33.20°, intensity 100; (2 0 0), 2θ = 34.10°, intensity 35; (2 2 2), 2θ = 44.94°, intensity 27

Atomic structure:
a = 5.2591 Å, b = 7.1048 Å, c = 13.5069 Å
α = 90.00°, β = 90.00°, γ = 90.00°
Element x y z (fractional)
1 Cs 0.0000 0.0000 0.0000
2 Cs 0.0000 0.5000 0.5000
3 Ca 0.0000 0.0000 0.4840
4 Ca 0.0000 0.5000 0.9840
5 Mg 0.0000 0.2388 0.7415
6 Mg 0.0000 0.2612 0.2415
7 Mg 0.0000 0.7388 0.2415
8 Mg 0.0000 0.7612 0.7415
9 Mg 0.5000 0.0000 0.1802
10 Mg 0.5000 0.0000 0.6677
11 Mg 0.5000 0.2323 0.3650
12 Mg 0.5000 0.2677 0.8650
13 Mg 0.5000 0.5000 0.1677
14 Mg 0.5000 0.5000 0.6802
15 Mg 0.5000 0.7323 0.8650
16 Mg 0.5000 0.7677 0.3650



# 5
Theoretical X-ray powder pattern
Compound: CsCaMg14
Radiation: λ = 1.5418 Å (Cu Kα)
Structure: the GGA-PBE geometry in the Materials Project

Peak list (10 most intense, 10° ≤ 2θ ≤ 90°, by angle)
(1 0 0), 2θ = 15.01°, intensity 21; (1 0 1), 2θ = 17.15°, intensity 19; (1 0 2), 2θ = 22.42°, intensity 26; (2 0 0), 2θ = 30.28°, intensity 28; (0 0 4), 2θ = 33.49°, intensity 24; (2 0 2), 2θ = 34.71°, intensity 100; (2 0 4), 2θ = 45.77°, intensity 17; (2 2 0), 2θ = 53.80°, intensity 17; (2 0 6), 2θ = 60.66°, intensity 18; (2 2 4), 2θ = 64.87°, intensity 19

Atomic structure:
a = 6.8161 Å, b = 6.8161 Å, c = 10.7036 Å
α = 90.00°, β = 90.00°, γ = 120.00°
Element x y z (fractional)
1 Cs 0.0000 0.0000 0.0000
2 Ca 0.0000 0.0000 0.5000
3 Mg 0.0059 0.5029 0.0000
4 Mg 0.0065 0.5033 0.5000
5 Mg 0.1775 0.3549 0.2597
6 Mg 0.1775 0.3549 0.7403
7 Mg 0.1775 0.8225 0.2597
8 Mg 0.1775 0.8225 0.7403
9 Mg 0.4971 0.5029 0.0000
10 Mg 0.4967 0.5033 0.5000
11 Mg 0.4967 0.9935 0.5000
12 Mg 0.4971 0.9941 0.0000
13 Mg 0.6451 0.8225 0.2597
14 Mg 0.6451 0.8225 0.7403
15 Mg 0.6667 0.3333 0.2489
16 Mg 0.6667 0.3333 0.7511



# 6
Theoretical X-ray powder pattern
Compound: CsCaMg6
Radiation: λ = 1.5418 Å (Cu Kα)
Structure: the GGA-PBE geometry in the Materials Project

Peak list (10 most intense, 10° ≤ 2θ ≤ 90°, by angle)
(0 1 1), 2θ = 14.31°, intensity 64; (1 0 2), 2θ = 21.51°, intensity 69; (0 2 2), 2θ = 28.89°, intensity 25; (1 1 3), 2θ = 29.73°, intensity 28; (2 0 0), 2θ = 32.29°, intensity 34; (1 0 4), 2θ = 33.07°, intensity 44; (1 2 2), 2θ = 33.19°, intensity 100; (0 2 6), 2θ = 51.03°, intensity 27; (3 2 2), 2θ = 58.13°, intensity 27; (2 2 6), 2θ = 61.69°, intensity 19

Atomic structure:
a = 5.5453 Å, b = 7.1264 Å, c = 12.4181 Å
α = 90.00°, β = 90.00°, γ = 90.00°
Element x y z (fractional)
1 Cs 0.0000 0.0000 0.0000
2 Cs 0.0000 0.5000 0.5000
3 Ca 0.5000 0.0000 0.1846
4 Ca 0.5000 0.5000 0.6846
5 Mg 0.0000 0.0000 0.5058
6 Mg 0.0000 0.2477 0.7564
7 Mg 0.0000 0.2523 0.2564
8 Mg 0.0000 0.5000 0.0058
9 Mg 0.0000 0.7477 0.2564
10 Mg 0.0000 0.7523 0.7564
11 Mg 0.5000 0.0000 0.6721
12 Mg 0.5000 0.2218 0.4198
13 Mg 0.5000 0.2782 0.9198
14 Mg 0.5000 0.5000 0.1721
15 Mg 0.5000 0.7218 0.9198
16 Mg 0.5000 0.7782 0.4198